(1)
# NdY6Ho2
Computed X-ray powder pattern, λ = 1.5418 Å (Cu Kα). Input: a GGA-PBE-relaxed structure.
Peak positions follow from Bragg's law for the DFT cell and can differ from measured ones.

Crystal structure
```
data_NdY6Ho2
_chemical_formula_sum 'Nd4 Y24 Ho8'
_symmetry_space_group_name_H-M 'I b a m'
_symmetry_Int_Tables_number 72
_symmetry_space_group_name_Hall '-I 2 2c'
_cell_length_a 5.7345
_cell_length_b 9.6869
_cell_length_c 20.9093
_cell_angle_alpha 90.00
_cell_angle_beta 90.00
_cell_angle_gamma 90.00
loop_
_atom_site_label
_atom_site_type_symbol
_atom_site_fract_x
_atom_site_fract_y
_atom_site_fract_z
Nd1 Nd 0.0000 0.0000 0.2500
Y1 Y 0.0000 0.0000 0.0830
Y2 Y 0.0282 0.3320 0.1654
Ho1 Ho 0.0331 0.3321 0.5000
```

The 10 most intense peaks (10 to 90 degrees two-theta), most intense first:
- d 2.814, 2θ = 31.80°, rel. 100
- d 2.847, 2θ = 31.43°, rel. 89
- d 2.867, 2θ = 31.19°, rel. 49
- d 2.829, 2θ = 31.63°, rel. 47
- d 2.014, 2θ = 45.02°, rel. 32
- d 1.481, 2θ = 62.72°, rel. 28
- d 1.624, 2θ = 56.68°, rel. 18
- d 1.645, 2θ = 55.90°, rel. 16
- d 1.634, 2θ = 56.30°, rel. 15
- d 1.989, 2θ = 45.62°, rel. 15

***

(2)
# NdY3Ho8
Computed X-ray powder pattern, λ = 1.5418 Å (Cu Kα). Input: a GGA-PBE-relaxed structure.
Peak positions follow from Bragg's law for the DFT cell and can differ from measured ones.

Crystal structure
```
data_NdY3Ho8
_chemical_formula_sum 'Nd2 Y6 Ho16'
_symmetry_space_group_name_H-M 'I m m m'
_symmetry_Int_Tables_number 71
_symmetry_space_group_name_Hall '-I 2 2'
_cell_length_a 6.4043
_cell_length_b 11.3049
_cell_length_c 11.3262
_cell_angle_alpha 90.00
_cell_angle_beta 90.00
_cell_angle_gamma 90.00
loop_
_atom_site_label
_atom_site_type_symbol
_atom_site_fract_x
_atom_site_fract_y
_atom_site_fract_z
Nd1 Nd 0.0000 0.0000 0.0000
Y1 Y 0.0000 0.0000 0.5000
Y2 Y 0.0000 0.5000 0.2454
Ho1 Ho 0.0000 0.1694 0.2505
Ho2 Ho 0.2474 0.2546 0.0000
```

The 10 most intense peaks (10 to 90 degrees two-theta), most intense first:
- d 2.817, 2θ = 31.76°, rel. 100
- d 2.787, 2θ = 32.12°, rel. 88
- d 2.831, 2θ = 31.61°, rel. 79
- d 2.500, 2θ = 35.92°, rel. 69
- d 2.530, 2θ = 35.49°, rel. 43
- d 5.653, 2θ = 15.68°, rel. 39
- d 1.625, 2θ = 56.65°, rel. 38
- d 5.572, 2θ = 15.90°, rel. 32
- d 1.409, 2θ = 66.36°, rel. 31
- d 1.765, 2θ = 51.80°, rel. 25

***

(3)
# Nd2Y3Ho3
Computed X-ray powder pattern, λ = 1.5418 Å (Cu Kα). Input: a GGA-PBE-relaxed structure.
Peak positions follow from Bragg's law for the DFT cell and can differ from measured ones.

Crystal structure
```
data_Nd2Y3Ho3
_chemical_formula_sum 'Nd4 Y6 Ho6'
_symmetry_space_group_name_H-M 'C 1 2/m 1'
_symmetry_Int_Tables_number 12
_symmetry_space_group_name_Hall '-C 2y'
_cell_length_a 23.9585
_cell_length_b 3.6002
_cell_length_c 6.2314
_cell_angle_alpha 90.00
_cell_angle_beta 105.05
_cell_angle_gamma 90.00
loop_
_atom_site_label
_atom_site_type_symbol
_atom_site_fract_x
_atom_site_fract_y
_atom_site_fract_z
Nd1 Nd 0.2492 0.0000 0.2506
Y1 Y 0.0000 0.0000 0.0000
Y2 Y 0.1238 0.0000 0.7898
Ho1 Ho 0.0000 0.5000 0.5000
Ho2 Ho 0.1237 0.5000 0.2914
```

The 10 most intense peaks (10 to 90 degrees two-theta), most intense first:
- d 2.744, 2θ = 32.64°, rel. 100
- d 3.009, 2θ = 29.69°, rel. 39
- d 2.892, 2θ = 30.92°, rel. 33
- d 1.528, 2θ = 60.61°, rel. 29
- d 1.799, 2θ = 50.73°, rel. 25
- d 2.424, 2θ = 37.09°, rel. 22
- d 1.640, 2θ = 56.09°, rel. 21
- d 1.505, 2θ = 61.64°, rel. 16
- d 1.154, 2θ = 83.80°, rel. 13
- d 1.858, 2θ = 49.03°, rel. 10

***

(4)
# Nd3Y4Ho4
Computed X-ray powder pattern, λ = 1.5418 Å (Cu Kα). Input: a GGA-PBE-relaxed structure.
Peak positions follow from Bragg's law for the DFT cell and can differ from measured ones.

Crystal structure
```
data_Nd3Y4Ho4
_chemical_formula_sum 'Nd6 Y8 Ho8'
_symmetry_space_group_name_H-M 'A m m 2'
_symmetry_Int_Tables_number 38
_symmetry_space_group_name_Hall 'A 2 -2'
_cell_length_a 10.6278
_cell_length_b 5.7221
_cell_length_c 12.0839
_cell_angle_alpha 90.00
_cell_angle_beta 90.00
_cell_angle_gamma 90.00
loop_
_atom_site_label
_atom_site_type_symbol
_atom_site_fract_x
_atom_site_fract_y
_atom_site_fract_z
Nd1 Nd 0.0000 0.0000 0.0000
Nd2 Nd 0.2969 0.0000 0.1478
Y1 Y 0.0000 0.0000 0.3003
Y2 Y 0.2903 0.0000 0.8443
Y3 Y 0.5000 0.0000 0.3626
Ho1 Ho 0.0000 0.0000 0.7009
Ho2 Ho 0.2134 0.0000 0.4998
Ho3 Ho 0.5000 0.0000 0.6345
```

The 10 most intense peaks (10 to 90 degrees two-theta), most intense first:
- d 2.800, 2θ = 31.97°, rel. 100
- d 2.861, 2θ = 31.26°, rel. 37
- d 2.923, 2θ = 30.59°, rel. 31
- d 1.640, 2θ = 56.08°, rel. 23
- d 2.657, 2θ = 33.73°, rel. 16
- d 2.906, 2θ = 30.77°, rel. 15
- d 1.498, 2θ = 61.96°, rel. 13
- d 1.947, 2θ = 46.65°, rel. 13
- d 1.486, 2θ = 62.52°, rel. 12
- d 2.039, 2θ = 44.44°, rel. 11

***

Question: Number 1 is which compound?
Answer: NdY6Ho2